Starting from a structure optimized by DFT (GGA-PBE), the powder diffractogram of Tb3Pm3Tm5 was simulated for λ = 1.5418 Å (Cu Kα).

Structure:
Cell: 9.5939 9.5939 5.4757 Å, 90.00 90.00 120.00°
Positions (direct):
Tb: 0.0000 0.4482 0.0000
Tb: 0.4482 0.0000 0.0000
Tb: 0.5518 0.5518 0.0000
Pm: 0.0000 0.6322 0.5000
Pm: 0.3678 0.3678 0.5000
Pm: 0.6322 0.0000 0.5000
Tm: 0.0000 0.2673 0.5000
Tm: 0.2673 0.0000 0.5000
Tm: 0.3333 0.6667 0.5000
Tm: 0.6667 0.3333 0.5000
Tm: 0.7327 0.7327 0.5000

Peak list (10 most intense, 2θ = 10–90°, low angle first)
10.65°, rel. 47
16.19°, rel. 78
26.94°, rel. 81
28.42°, rel. 41
32.32°, rel. 63
32.71°, rel. 66
32.88°, rel. 98
36.35°, rel. 100
42.56°, rel. 41
46.65°, rel. 46


Starting from a structure optimized by DFT (GGA-PBE), the powder diffractogram of Tb2Pm2Tm3 was simulated for λ = 1.5418 Å (Cu Kα).

Structure:
Cell: 6.1421 6.1421 7.9625 Å, 97.51 97.51 48.31°
Positions (direct):
Tb: 0.2136 0.2136 0.1438
Tb: 0.7864 0.7864 0.8562
Pm: 0.0714 0.0714 0.7144
Pm: 0.9286 0.9286 0.2856
Tm: 0.3567 0.3567 0.5718
Tm: 0.5000 0.5000 0.0000
Tm: 0.6433 0.6433 0.4282

Peak list (10 most intense, 2θ = 10–90°, low angle first)
30.82°, rel. 100
35.69°, rel. 34
35.83°, rel. 17
51.38°, rel. 18
51.50°, rel. 18
61.07°, rel. 14
61.15°, rel. 14
61.30°, rel. 14
64.21°, rel. 12
83.84°, rel. 9


Starting from a structure optimized by DFT (GGA-PBE), the powder diffractogram of Tb4Pm5Tm2 was simulated for λ = 1.5418 Å (Cu Kα).

Structure:
Cell: 6.6580 6.6580 9.2995 Å, 104.23 104.23 66.69°
Positions (direct):
Tb: 0.1665 0.1665 0.1182
Tb: 0.1967 0.1967 0.5016
Tb: 0.8033 0.8033 0.4984
Tb: 0.8335 0.8335 0.8818
Pm: 0.1538 0.7132 0.2304
Pm: 0.2868 0.8462 0.7696
Pm: 0.5000 0.5000 0.5000
Pm: 0.7132 0.1538 0.2304
Pm: 0.8462 0.2868 0.7696
Tm: 0.3545 0.3545 0.8833
Tm: 0.6455 0.6455 0.1167

Peak list (10 most intense, 2θ = 10–90°, low angle first)
29.65°, rel. 74
29.79°, rel. 64
29.90°, rel. 36
30.17°, rel. 41
31.67°, rel. 72
32.20°, rel. 86
32.97°, rel. 100
39.10°, rel. 28
49.83°, rel. 22
59.16°, rel. 22


Starting from a structure optimized by DFT (GGA-PBE), the powder diffractogram of Tb8Pm4Tm3 was simulated for λ = 1.5418 Å (Cu Kα).

Structure:
Cell: 12.4845 12.4845 12.4845 Å, 32.30 32.30 32.30°
Positions (direct):
Tb: 0.2446 0.2446 0.2446
Tb: 0.2467 0.7494 0.7494
Tb: 0.2506 0.2506 0.7533
Tb: 0.2506 0.7533 0.2506
Tb: 0.7494 0.2467 0.7494
Tb: 0.7494 0.7494 0.2467
Tb: 0.7533 0.2506 0.2506
Tb: 0.7554 0.7554 0.7554
Pm: 0.0000 0.0000 0.0000
Pm: 0.3365 0.3365 0.3365
Pm: 0.5000 0.5000 0.5000
Pm: 0.6635 0.6635 0.6635
Tm: 0.0000 0.0000 0.5000
Tm: 0.0000 0.5000 0.0000
Tm: 0.5000 0.0000 0.0000

Peak list (10 most intense, 2θ = 10–90°, low angle first)
26.76°, rel. 16
29.83°, rel. 25
30.22°, rel. 66
31.41°, rel. 100
36.09°, rel. 73
51.18°, rel. 27
52.72°, rel. 36
60.61°, rel. 17
61.98°, rel. 45
86.47°, rel. 16